This entry pairs a crystal structure of Ce3YSe4 with its theoretical XRD peak list. Radiation: CuKα. Structure: a structure optimized by DFT (GGA-PBE).
No peak broadening, texture or thermal motion is included.

Cell and atoms:
a b c (Å): 8.3737 11.8030 4.1563
angles (deg): 90.00 90.00 90.00
Atoms (fractional coordinates):
1 Ce 0.0000 0.0000 0.0000
2 Ce 0.2500 0.2500 0.5000
3 Ce 0.2500 0.7500 0.5000
4 Ce 0.5000 0.5000 0.0000
5 Ce 0.7500 0.2500 0.5000
6 Ce 0.7500 0.7500 0.5000
7 Y 0.0000 0.5000 0.0000
8 Y 0.5000 0.0000 0.0000
9 Se 0.0000 0.2539 0.0000
10 Se 0.0000 0.7461 0.0000
11 Se 0.2426 0.5000 0.5000
12 Se 0.2574 0.0000 0.5000
13 Se 0.5000 0.2461 0.0000
14 Se 0.5000 0.7539 0.0000
15 Se 0.7426 0.0000 0.5000
16 Se 0.7574 0.5000 0.5000

Peak list (10 most intense, 10° ≤ 2θ ≤ 80°, low angle first)
30.30°, I 100
43.22°, I 12
43.38°, I 49
43.55°, I 12
53.68°, I 13
53.97°, I 13
63.02°, I 12
71.51°, I 22
79.41°, I 12
79.84°, I 8


This entry pairs a crystal structure of Ce5Si4 with its theoretical XRD peak list. Radiation: CuKα. Structure: a structure optimized by DFT (GGA-PBE).
No peak broadening, texture or thermal motion is included.

Cell and atoms:
a b c (Å): 7.7999 7.7999 14.4830
angles (deg): 90.00 90.00 90.00
Atoms (fractional coordinates):
1 Ce 0.0043 0.1318 0.1244
2 Ce 0.0044 0.6399 0.2072
3 Ce 0.1318 0.0043 0.8756
4 Ce 0.1399 0.4956 0.9572
5 Ce 0.1787 0.1787 0.5000
6 Ce 0.3213 0.6787 0.7500
7 Ce 0.3601 0.9956 0.2928
8 Ce 0.3682 0.5043 0.3744
9 Ce 0.4956 0.1399 0.0428
10 Ce 0.4957 0.6318 0.1256
11 Ce 0.5043 0.3682 0.6256
12 Ce 0.5044 0.8601 0.5428
13 Ce 0.6318 0.4957 0.8744
14 Ce 0.6399 0.0044 0.7928
15 Ce 0.6787 0.3213 0.2500
16 Ce 0.8213 0.8213 0.0000
17 Ce 0.8601 0.5044 0.4572
18 Ce 0.8682 0.9957 0.3756
19 Ce 0.9956 0.3601 0.7072
20 Ce 0.9957 0.8682 0.6244
21 Si 0.0650 0.2983 0.3088
22 Si 0.1574 0.7909 0.4395
23 Si 0.2017 0.5650 0.5588
24 Si 0.2091 0.8426 0.0605
25 Si 0.2909 0.3426 0.1895
26 Si 0.2983 0.0650 0.6912
27 Si 0.3426 0.2909 0.8105
28 Si 0.4350 0.7983 0.9412
29 Si 0.5650 0.2017 0.4412
30 Si 0.6574 0.7091 0.3105
31 Si 0.7017 0.9350 0.1912
32 Si 0.7091 0.6574 0.6895
33 Si 0.7909 0.1574 0.5605
34 Si 0.7983 0.4350 0.0588
35 Si 0.8426 0.2091 0.9395
36 Si 0.9350 0.7017 0.8088

Peak list (10 most intense, 10° ≤ 2θ ≤ 80°, low angle first)
25.95°, I 29
26.28°, I 21
27.15°, I 20
29.48°, I 59
31.65°, I 66
33.06°, I 100
34.99°, I 53
36.73°, I 54
48.34°, I 28
53.09°, I 34


This entry pairs a crystal structure of Ce7Si3 with its theoretical XRD peak list. Radiation: CuKα. Structure: a structure optimized by DFT (GGA-PBE).
No peak broadening, texture or thermal motion is included.

Cell and atoms:
a b c (Å): 10.0946 10.0946 5.8067
angles (deg): 90.00 90.00 120.00
Atoms (fractional coordinates):
1 Ce 0.0562 0.5281 0.0000
2 Ce 0.1308 0.2616 0.8048
3 Ce 0.1308 0.8692 0.8048
4 Ce 0.2616 0.1308 0.3048
5 Ce 0.3333 0.6667 0.5928
6 Ce 0.4719 0.5281 0.0000
7 Ce 0.4719 0.9438 0.0000
8 Ce 0.5281 0.0562 0.5000
9 Ce 0.5281 0.4719 0.5000
10 Ce 0.6667 0.3333 0.0928
11 Ce 0.7384 0.8692 0.8048
12 Ce 0.8692 0.1308 0.3048
13 Ce 0.8692 0.7384 0.3048
14 Ce 0.9438 0.4719 0.5000
15 Si 0.1931 0.3862 0.3082
16 Si 0.1931 0.8069 0.3082
17 Si 0.3862 0.1931 0.8082
18 Si 0.6138 0.8069 0.3082
19 Si 0.8069 0.1931 0.8082
20 Si 0.8069 0.6138 0.8082

Peak list (10 most intense, 10° ≤ 2θ ≤ 80°, low angle first)
25.51°, I 41
26.98°, I 50
31.14°, I 100
32.50°, I 54
34.43°, I 96
35.57°, I 76
37.18°, I 73
50.35°, I 27
55.70°, I 48
69.01°, I 29


This entry pairs a crystal structure of Ce2Si7 with its theoretical XRD peak list. Radiation: CuKα. Structure: a structure optimized by DFT (GGA-PBE).
No peak broadening, texture or thermal motion is included.

Cell and atoms:
a b c (Å): 6.0990 6.0990 4.4485
angles (deg): 90.00 90.00 109.63
Atoms (fractional coordinates):
1 Ce 0.2046 0.7954 0.0000
2 Ce 0.7954 0.2046 0.0000
3 Si 0.0000 0.0000 0.5000
4 Si 0.1791 0.4438 0.5000
5 Si 0.3193 0.3193 0.0000
6 Si 0.4438 0.1791 0.5000
7 Si 0.5562 0.8209 0.5000
8 Si 0.6807 0.6807 0.0000
9 Si 0.8209 0.5562 0.5000

Peak list (10 most intense, 10° ≤ 2θ ≤ 80°, low angle first)
17.79°, I 38
19.96°, I 43
26.86°, I 45
31.14°, I 45
32.47°, I 64
36.07°, I 100
37.26°, I 95
40.56°, I 45
47.42°, I 35
51.96°, I 42


This entry pairs a crystal structure of CeSm2Si4 with its theoretical XRD peak list. Radiation: CuKα. Structure: a structure optimized by DFT (GGA-PBE).
No peak broadening, texture or thermal motion is included.

Cell and atoms:
a b c (Å): 3.9349 4.3621 17.7339
angles (deg): 90.00 90.00 90.00
Atoms (fractional coordinates):
1 Ce 0.0000 0.0000 0.0000
2 Ce 0.5000 0.5000 0.5000
3 Sm 0.0000 0.5000 0.3178
4 Sm 0.0000 0.5000 0.6822
5 Sm 0.5000 0.0000 0.1822
6 Sm 0.5000 0.0000 0.8178
7 Si 0.0000 0.0000 0.4346
8 Si 0.0000 0.0000 0.5654
9 Si 0.0000 0.5000 0.1456
10 Si 0.0000 0.5000 0.8544
11 Si 0.5000 0.0000 0.3544
12 Si 0.5000 0.0000 0.6456
13 Si 0.5000 0.5000 0.0654
14 Si 0.5000 0.5000 0.9346

Peak list (10 most intense, 10° ≤ 2θ ≤ 80°, low angle first)
20.97°, I 28
27.23°, I 63
30.24°, I 29
32.26°, I 100
32.54°, I 59
36.84°, I 23
41.40°, I 25
50.26°, I 24
51.77°, I 21
57.59°, I 23


This entry pairs a crystal structure of CeSiSn2 with its theoretical XRD peak list. Radiation: CuKα. Structure: a structure optimized by DFT (GGA-PBE).
No peak broadening, texture or thermal motion is included.

Cell and atoms:
a b c (Å): 4.1390 23.7058 4.3354
angles (deg): 90.00 90.00 90.00
Atoms (fractional coordinates):
1 Ce 0.0000 0.1355 0.2500
2 Ce 0.0000 0.8645 0.7500
3 Ce 0.5000 0.3645 0.7500
4 Ce 0.5000 0.6355 0.2500
5 Si 0.0000 0.3508 0.2500
6 Si 0.0000 0.6492 0.7500
7 Si 0.5000 0.1492 0.7500
8 Si 0.5000 0.8508 0.2500
9 Sn 0.0000 0.2497 0.7500
10 Sn 0.0000 0.4594 0.2500
11 Sn 0.0000 0.5406 0.7500
12 Sn 0.0000 0.7503 0.2500
13 Sn 0.5000 0.0406 0.7500
14 Sn 0.5000 0.2503 0.2500
15 Sn 0.5000 0.7497 0.7500
16 Sn 0.5000 0.9594 0.2500

Peak list (10 most intense, 10° ≤ 2θ ≤ 80°, low angle first)
24.28°, I 36
30.61°, I 36
31.97°, I 100
35.46°, I 22
37.96°, I 21
40.21°, I 26
41.66°, I 24
43.74°, I 21
59.31°, I 29
75.04°, I 19


> What is the formula in the first record?

Ce3YSe4